Structure and theoretical X-ray diffraction stick pattern of Ga2Pd6Au (DFT lattice parameters and positions (GGA-PBE); Cu Kα (λ = 1.5418 Å)).
Neutral-atom scattering factors, no anomalous dispersion.

The 6 most intense peaks (5° ≤ 2θ ≤ 70°), low angle first:
d 2.710, intensity 47.2; d 2.425, intensity 100.0; d 2.395, intensity 42.7; d 2.294, intensity 44.1; d 2.244, intensity 59.0; d 2.161, intensity 47.3

Cell and atoms:
Cell: 5.097 7.191 9.073 Å, 90.00 119.27 90.00°
Fractional coordinates of all 18 atoms:
Ga (0.246, 0.081, 0.305)
Ga (0.246, 0.419, 0.805)
Ga (0.754, 0.581, 0.195)
Ga (0.754, 0.919, 0.695)
Pd (0.128, 0.143, 0.961)
Pd (0.128, 0.357, 0.461)
Pd (0.255, 0.734, 0.377)
Pd (0.255, 0.766, 0.877)
Pd (0.465, 0.107, 0.797)
Pd (0.465, 0.393, 0.297)
Pd (0.535, 0.607, 0.703)
Pd (0.535, 0.893, 0.203)
Pd (0.745, 0.234, 0.123)
Pd (0.745, 0.266, 0.623)
Pd (0.872, 0.643, 0.539)
Pd (0.872, 0.857, 0.039)
Au (0.000, 0.000, 0.500)
Au (0.000, 0.500, 0.000)